MnH4S2O10: calculated powder XRD pattern (Cu Kα), based on a structure optimized by DFT (GGA+U).
No peak broadening, texture or thermal motion is included.

Structural model:
Unit cell a=5.8043 b=12.9862 c=5.1506 alpha=90.00 beta=103.38 gamma=90.00
Space group P2_1/c (No. 14)
Asymmetric unit:
Mn 0.0000 0.0000 0.0000 x2
H 0.0838 0.1965 0.0021 x4
H 0.3174 0.1395 0.1816 x4
S 0.2187 0.6180 0.0643 x4
O 0.0076 0.6821 0.0067 x4
O 0.1746 0.1301 0.0275 x4
O 0.2109 0.5398 0.8403 x4
O 0.2364 0.5558 0.3197 x4
O 0.4434 0.6731 0.1016 x4

Largest 10 diffraction maxima, by angle, 2θ from 5° to 70°:
index, d [Å], I_rel
0 2 0, 6.493, 66
1 0 0, 5.647, 100
1 1 0, 5.178, 42
1 2 0, 4.261, 34
0 2 1, 3.967, 31
1 2 -1, 3.568, 79
1 3 0, 3.435, 40
0 3 1, 3.274, 94
1 3 -1, 3.040, 23
1 2 1, 2.998, 32